[1]
Computed powder diffractogram of Zr3Zn3IrPdAu for λ = 1.5418 Å (Cu Kα), from DFT lattice parameters and positions (PBE).
Intensities are scaled so that the largest is 100.

Most intense lines, 15 to 90 degrees two-theta, most intense first:
2theta  Rel. int.
38.51  100
42.72  66
46.05  55
35.71  53
24.28  40
70.10  37
29.43  36
70.34  30
37.47  20
53.00  19

Crystal structure
```
Zr3Zn3IrPdAu
1.0
7.3320 0.0000 0.0000
-3.6660 6.3497 0.0000
0.0000 0.0000 3.4556
Zr Zn Ir Pd Au
3 3 1 1 1
Direct
0.0757 0.3455 0.0000
0.2698 0.9243 0.0000
0.6545 0.7302 0.0000
0.3913 0.3300 0.5000
0.6700 0.0613 0.5000
0.9387 0.6087 0.5000
0.3333 0.6667 0.5000
0.0000 0.0000 0.5000
0.6667 0.3333 0.0000
```


[2]
Computed powder diffractogram of Si2IrAu for λ = 1.5418 Å (Cu Kα), from DFT lattice parameters and positions (PBE).
Intensities are scaled so that the largest is 100.

Most intense lines, 15 to 90 degrees two-theta, most intense first:
2theta  Rel. int.
40.42  100
24.43  66
73.51  35
47.80  35
58.50  17
64.34  15
87.42  12
78.80  11

Crystal structure
```
Si2IrAu
1.0
0.0000 3.1556 3.1556
3.1556 0.0000 3.1556
3.1556 3.1556 0.0000
Si Ir Au
2 1 1
Direct
0.0000 0.0000 0.0000
0.2500 0.2500 0.2500
0.7500 0.7500 0.7500
0.5000 0.5000 0.5000
```


[3]
Computed powder diffractogram of SrSi2IrAu for λ = 1.5418 Å (Cu Kα), from DFT lattice parameters and positions (PBE).
Intensities are scaled so that the largest is 100.

Most intense lines, 15 to 90 degrees two-theta, most intense first:
2theta  Rel. int.
34.21  100
17.39  50
41.81  36
46.37  24
71.47  24
55.76  20
29.23  19
45.60  18
35.19  18
62.52  18

Crystal structure
```
SrSi2IrAu
1.0
-2.1608 2.1608 5.1004
2.1608 -2.1608 5.1004
2.1608 2.1608 -5.1004
Sr Si Ir Au
1 2 1 1
Direct
0.0000 0.0000 0.0000
0.3748 0.3748 0.0000
0.6252 0.6252 0.0000
0.7500 0.2500 0.5000
0.2500 0.7500 0.5000
```


[4]
Computed powder diffractogram of K8Au3 for λ = 1.5418 Å (Cu Kα), from DFT lattice parameters and positions (PBE).
Intensities are scaled so that the largest is 100.

Most intense lines, 15 to 90 degrees two-theta, most intense first:
2theta  Rel. int.
19.35  100
29.95  90
17.77  85
35.05  73
28.30  62
32.06  42
54.51  29
35.90  27
21.80  18
47.43  18

Crystal structure
```
K8Au3
1.0
5.1681 2.9838 19.9013
-5.1681 2.9838 19.9013
0.0000 -5.9676 19.9013
K Au
32 12
Direct
0.9997 0.9997 0.9997
0.0585 0.0585 0.0585
0.0707 0.4211 0.7952
0.1193 0.6620 0.8927
0.1358 0.7635 0.4876
0.1608 0.6202 0.3928
0.1668 0.3966 0.9374
0.2221 0.2221 0.2221
0.2619 0.6368 0.9885
0.2965 0.9207 0.5700
0.3363 0.3363 0.3363
0.3928 0.1608 0.6202
0.3966 0.9374 0.1668
0.4211 0.7952 0.0707
0.4375 0.8970 0.6655
0.4876 0.1358 0.7635
0.4991 0.4991 0.4991
0.5581 0.5581 0.5581
0.5700 0.2965 0.9207
0.6202 0.3928 0.1608
0.6368 0.9885 0.2619
0.6620 0.8927 0.1193
0.6655 0.4375 0.8970
0.7217 0.7217 0.7217
0.7635 0.4876 0.1358
0.7952 0.0707 0.4211
0.8359 0.8359 0.8359
0.8927 0.1193 0.6620
0.8970 0.6655 0.4375
0.9207 0.5700 0.2965
0.9374 0.1668 0.3966
0.9885 0.2619 0.6368
0.0295 0.3548 0.7022
0.1215 0.1215 0.1215
0.2010 0.8543 0.5308
0.2792 0.2792 0.2792
0.3548 0.7022 0.0295
0.4366 0.4366 0.4366
0.5308 0.2010 0.8543
0.6215 0.6215 0.6215
0.7022 0.0295 0.3548
0.7788 0.7788 0.7788
0.8543 0.5308 0.2010
0.9367 0.9367 0.9367
```